For Ba8N2O, DFT lattice parameters and positions (GGA-PBE) gives the computed X-ray powder pattern in this record (Cu Kα).
Kinematic intensities with the Lorentz-polarization factor, no thermal factor.

Top 10 peaks for 10 to 90 degrees two-theta, by angle:
- 2θ 10.45, intensity 24.4
- 2θ 20.99, intensity 12.1
- 2θ 24.16, intensity 57.8
- 2θ 24.91, intensity 100.0
- 2θ 25.30, intensity 39.1
- 2θ 26.22, intensity 14.2
- 2θ 27.28, intensity 13.6
- 2θ 34.67, intensity 21.9
- 2θ 40.72, intensity 13.1
- 2θ 41.59, intensity 13.5

Atomic structure:
Unit cell a=8.8843 b=8.8843 c=7.0537 alpha=92.72 beta=92.72 gamma=72.40
Positions (direct):
1 Ba 0.0821 0.7180 0.7927
2 Ba 0.1606 0.1606 0.7113
3 Ba 0.2820 0.9179 0.2073
4 Ba 0.3570 0.3570 0.2879
5 Ba 0.6430 0.6430 0.7121
6 Ba 0.7180 0.0821 0.7927
7 Ba 0.8394 0.8394 0.2887
8 Ba 0.9179 0.2820 0.2073
9 N 0.1895 0.1895 0.3628
10 N 0.8105 0.8105 0.6372
11 O 0.0000 0.0000 0.0000